Structure and computed powder XRD pattern of AlNiPb (DFT lattice parameters and positions (GGA-PBE); Cu Ka).
Peak positions follow from Bragg's law for the DFT cell and can differ from measured ones.

Main lines, by angle (5° ≤ 2θ ≤ 70°):
2θ/deg, I/Imax
15.40, 48
29.37, 73
31.08, 26
36.90, 100
40.46, 44
43.54, 16
51.88, 26
63.84, 17
64.03, 15
66.85, 15

Cell and atoms:
Cell: 6.172 6.172 6.172 Å, 150.40 150.40 42.35°
Positions (direct):
Al  0.000  0.000  0.000
Ni  0.410  0.410  0.000
Pb  0.726  0.726  0.000